[1]
Diffraction record for LiDy6Ru5. The powder XRD pattern is computed, not measured: it uses the GGA-PBE geometry in Alexandria and Cu Kα, 1.54184 Å.
Kinematic intensities with the Lorentz-polarization factor, no thermal factor.

Structure:
a = 7.655 Å, b = 7.655 Å, c = 6.830 Å
α = 90.00°, β = 90.00°, γ = 143.07°
Fractional coordinates of all 12 atoms:
Li: 0.000 0.000 0.000
Dy: 0.171 0.829 0.253
Dy: 0.171 0.829 0.747
Dy: 0.500 0.500 0.259
Dy: 0.500 0.500 0.741
Dy: 0.829 0.171 0.253
Dy: 0.829 0.171 0.747
Ru: 0.000 0.000 0.500
Ru: 0.333 0.667 0.500
Ru: 0.338 0.662 0.000
Ru: 0.662 0.338 0.000
Ru: 0.667 0.333 0.500

The 10 most intense peaks (10° ≤ 2θ ≤ 90°), by intensity:
2θ (°)  d [Å]  I (rel.)
37.2  2.420  100
66.9  1.398  23
53.5  1.713  12
67.1  1.396  12
26.0  3.422  11
79.2  1.209  9
53.7  1.708  6
45.9  1.976  3
60.4  1.532  3
79.0  1.212  2

[2]
Diffraction record for Li3PrHg2. The powder XRD pattern is computed, not measured: it uses the GGA-PBE geometry in Alexandria and Cu Kα, 1.54184 Å.
Kinematic intensities with the Lorentz-polarization factor, no thermal factor.

Structure:
a = 7.643 Å, b = 7.643 Å, c = 9.694 Å
α = 122.41°, β = 122.41°, γ = 33.73°
Fractional coordinates of all 12 atoms:
Li: 0.059 0.059 0.398
Li: 0.269 0.269 0.428
Li: 0.429 0.429 0.320
Li: 0.571 0.571 0.680
Li: 0.731 0.731 0.572
Li: 0.941 0.941 0.602
Pr: 0.132 0.132 0.011
Pr: 0.868 0.868 0.989
Hg: 0.192 0.192 0.735
Hg: 0.423 0.423 0.780
Hg: 0.577 0.577 0.220
Hg: 0.808 0.808 0.265

The 10 most intense peaks (10° ≤ 2θ ≤ 90°), by intensity:
2θ (°)  d [Å]  I (rel.)
22.1  4.022  100
36.2  2.479  98
25.9  3.437  98
36.8  2.440  96
11.0  8.031  73
29.7  3.010  66
29.9  2.986  64
37.1  2.422  55
40.7  2.217  46
51.2  1.785  42

[3]
Diffraction record for Cs2PAuS4. The powder XRD pattern is computed, not measured: it uses the GGA-PBE geometry in Alexandria and Cu Kα, 1.54184 Å.
Kinematic intensities with the Lorentz-polarization factor, no thermal factor.

Structure:
a = 7.201 Å, b = 20.514 Å, c = 7.257 Å
α = 90.00°, β = 90.00°, γ = 90.00°
Fractional coordinates of all 32 atoms:
Cs: 0.077 0.167 0.250
Cs: 0.077 0.333 0.750
Cs: 0.294 0.016 0.750
Cs: 0.294 0.484 0.250
Cs: 0.706 0.516 0.750
Cs: 0.706 0.984 0.250
Cs: 0.923 0.667 0.250
Cs: 0.923 0.833 0.750
P: 0.218 0.613 0.750
P: 0.218 0.887 0.250
P: 0.782 0.113 0.750
P: 0.782 0.387 0.250
Au: 0.375 0.750 0.000
Au: 0.375 0.750 0.500
Au: 0.625 0.250 0.000
Au: 0.625 0.250 0.500
S: 0.031 0.159 0.750
S: 0.031 0.341 0.250
S: 0.207 0.515 0.750
S: 0.207 0.985 0.250
S: 0.373 0.637 0.512
S: 0.373 0.637 0.988
S: 0.373 0.863 0.012
S: 0.373 0.863 0.488
S: 0.627 0.137 0.512
S: 0.627 0.137 0.988
S: 0.627 0.363 0.012
S: 0.627 0.363 0.488
S: 0.793 0.015 0.750
S: 0.793 0.485 0.250
S: 0.969 0.659 0.750
S: 0.969 0.841 0.250

The 10 most intense peaks (10° ≤ 2θ ≤ 90°), by intensity:
2θ (°)  d [Å]  I (rel.)
28.9  3.090  100
25.1  3.546  91
21.2  4.182  78
27.9  3.201  69
26.0  3.421  68
36.1  2.488  64
27.5  3.240  63
13.0  6.794  63
21.7  4.094  59
41.6  2.171  50

[4]
Diffraction record for NaLi9Ag2. The powder XRD pattern is computed, not measured: it uses the GGA-PBE geometry in Alexandria and Cu Kα, 1.54184 Å.
Kinematic intensities with the Lorentz-polarization factor, no thermal factor.

Structure:
a = 8.936 Å, b = 8.936 Å, c = 8.936 Å
α = 99.99°, β = 99.99°, γ = 130.76°
Fractional coordinates of all 24 atoms:
Na: 0.375 0.625 0.750
Na: 0.625 0.375 0.250
Li: 0.125 0.875 0.250
Li: 0.135 0.564 0.324
Li: 0.135 0.811 0.570
Li: 0.189 0.259 0.324
Li: 0.189 0.865 0.930
Li: 0.259 0.189 0.824
Li: 0.259 0.436 0.070
Li: 0.436 0.259 0.570
Li: 0.436 0.865 0.176
Li: 0.564 0.135 0.824
Li: 0.564 0.741 0.430
Li: 0.741 0.564 0.930
Li: 0.741 0.811 0.176
Li: 0.811 0.135 0.070
Li: 0.811 0.741 0.676
Li: 0.865 0.189 0.430
Li: 0.865 0.436 0.676
Li: 0.875 0.125 0.750
Ag: 0.000 0.000 0.000
Ag: 0.000 0.000 0.500
Ag: 0.000 0.500 0.000
Ag: 0.500 0.000 0.500

The 10 most intense peaks (10° ≤ 2θ ≤ 90°), by intensity:
2θ (°)  d [Å]  I (rel.)
21.0  4.229  100
14.2  6.248  83
28.6  3.124  72
21.9  4.062  59
42.8  2.114  58
30.5  2.929  46
31.1  2.872  36
41.1  2.196  25
34.4  2.610  16
54.2  1.692  16

[5]
Diffraction record for Sm8HgSe6. The powder XRD pattern is computed, not measured: it uses the GGA-PBE geometry in Alexandria and Cu Kα, 1.54184 Å.
Kinematic intensities with the Lorentz-polarization factor, no thermal factor.

Structure:
a = 10.785 Å, b = 10.785 Å, c = 4.171 Å
α = 90.00°, β = 90.00°, γ = 120.00°
Fractional coordinates of all 15 atoms:
Sm: 0.035 0.325 0.249
Sm: 0.290 0.965 0.249
Sm: 0.325 0.290 0.751
Sm: 0.333 0.667 0.751
Sm: 0.667 0.333 0.249
Sm: 0.675 0.710 0.249
Sm: 0.710 0.035 0.751
Sm: 0.965 0.675 0.751
Hg: 0.000 0.000 0.000
Se: 0.132 0.648 0.250
Se: 0.352 0.484 0.250
Se: 0.484 0.132 0.750
Se: 0.516 0.868 0.250
Se: 0.648 0.516 0.750
Se: 0.868 0.352 0.750

The 10 most intense peaks (10° ≤ 2θ ≤ 90°), by intensity:
2θ (°)  d [Å]  I (rel.)
28.7  3.112  100
33.3  2.694  56
39.8  2.264  44
27.0  3.299  41
47.7  1.906  30
34.6  2.590  27
74.7  1.271  18
59.4  1.556  15
44.5  2.037  13
43.4  2.085  13